Sr4La2Mn3Ir3O18: simulated powder X-ray diffraction pattern (λ = 1.5418 Å (Cu Kα)), based on a crystal structure in Alexandria, relaxed with PBE+U.

The 8 most intense peaks (2θ from 10° to 90°), by angle:
hkl 0 1 1, 2θ = 19.2°, rel. 223; hkl 1 1 0, 2θ = 31.5°, rel. 1000; hkl 1 0 5, 2θ = 37.2°, rel. 127; hkl 2 0 4, 2θ = 45.2°, rel. 311; hkl 1 2 4, 2θ = 56.1°, rel. 300; hkl 1 0 8, 2θ = 56.3°, rel. 98; hkl 2 2 0, 2θ = 65.8°, rel. 94; hkl 0 2 8, 2θ = 65.9°, rel. 92

```
Sr4La2Mn3Ir3O18
1.0
5.6797 0.0000 0.0000
-2.8398 4.9188 0.0000
0.0000 0.0000 13.8653
Sr La Mn Ir O
4 2 3 3 18
Direct
0.3333 0.6667 0.0857 Sr
0.3333 0.6667 0.5874 Sr
0.6667 0.3333 0.4126 Sr
0.6667 0.3333 0.9143 Sr
0.0000 0.0000 0.2480 La
0.0000 0.0000 0.7520 La
0.0000 0.0000 0.5000 Mn
0.3333 0.6667 0.8341 Mn
0.6667 0.3333 0.1659 Mn
0.0000 0.0000 0.0000 Ir
0.3333 0.6667 0.3345 Ir
0.6667 0.3333 0.6656 Ir
0.0061 0.5031 0.2501 O
0.1594 0.3189 0.9132 O
0.1594 0.8406 0.9132 O
0.1633 0.3266 0.4095 O
0.1633 0.8367 0.4095 O
0.3189 0.1594 0.0868 O
0.3266 0.1633 0.5905 O
0.4969 0.5031 0.2501 O
0.4969 0.9939 0.2501 O
0.5031 0.0061 0.7499 O
0.5031 0.4969 0.7499 O
0.6734 0.8367 0.4095 O
0.6811 0.8406 0.9132 O
0.8367 0.1633 0.5905 O
0.8367 0.6734 0.5905 O
0.8406 0.1594 0.0868 O
0.8406 0.6811 0.0868 O
0.9939 0.4969 0.7499 O
```